1.
Diffraction record for Li5MnCo2O8. The X-ray diffraction stick pattern is computed, not measured: it uses DFT lattice parameters and positions (PBE+U) and Cu Kα, 1.54184 Å.
Intensities are scaled so that the largest is 100.

Structure:
a = 5.004 Å, b = 2.848 Å, c = 9.785 Å
α = 90.00°, β = 100.39°, γ = 90.00°
Positions (direct):
Li  0.000  0.000  0.000
Li  0.218  0.500  0.229
Li  0.262  0.000  0.757
Li  0.738  0.000  0.243
Li  0.782  0.500  0.771
Mn  0.500  0.500  0.000
Co  0.000  0.500  0.500
Co  0.500  0.000  0.500
O  0.136  0.000  0.392
O  0.155  0.500  0.880
O  0.365  0.500  0.602
O  0.382  0.000  0.112
O  0.618  0.000  0.888
O  0.635  0.500  0.398
O  0.845  0.500  0.120
O  0.864  0.000  0.608

Top 10 peaks for 2θ from 5° to 70°, low angle first:
Position (°2θ)  I (rel.)
9.19  49
18.02  9
18.44  100
18.71  10
36.49  14
36.81  24
44.26  84
58.07  9
64.00  14
64.77  16

2.
Diffraction record for Li6Mn3CoO10. The X-ray diffraction stick pattern is computed, not measured: it uses DFT lattice parameters and positions (PBE+U) and Cu Kα, 1.54184 Å.
Intensities are scaled so that the largest is 100.

Structure:
a = 2.996 Å, b = 7.811 Å, c = 8.146 Å
α = 104.74°, β = 90.66°, γ = 96.45°
Positions (direct):
Li  0.000  0.000  0.000
Li  0.015  0.012  0.512
Li  0.145  0.381  0.602
Li  0.382  0.798  0.221
Li  0.567  0.192  0.788
Li  0.841  0.612  0.418
Mn  0.166  0.395  0.102
Mn  0.567  0.190  0.310
Mn  0.796  0.604  0.902
Co  0.415  0.809  0.696
O  0.013  0.021  0.261
O  0.021  0.983  0.749
O  0.125  0.370  0.339
O  0.159  0.405  0.864
O  0.399  0.792  0.477
O  0.424  0.796  0.933
O  0.546  0.206  0.068
O  0.581  0.200  0.537
O  0.791  0.615  0.666
O  0.812  0.598  0.146

Top 10 peaks for 2θ from 5° to 70°, low angle first:
Position (°2θ)  I (rel.)
11.24  10
14.06  12
18.32  100
34.19  18
36.39  10
36.50  12
40.91  36
44.48  56
61.86  16
62.19  17

3.
Diffraction record for Li7Mn2Co3O12. The X-ray diffraction stick pattern is computed, not measured: it uses DFT lattice parameters and positions (PBE+U) and Cu Kα, 1.54184 Å.
Intensities are scaled so that the largest is 100.

Structure:
a = 5.903 Å, b = 6.491 Å, c = 6.558 Å
α = 71.87°, β = 64.13°, γ = 77.03°
Positions (direct):
Li  0.000  0.000  0.000
Li  0.074  0.326  0.169
Li  0.246  0.996  0.504
Li  0.402  0.674  0.839
Li  0.598  0.326  0.161
Li  0.754  0.004  0.496
Li  0.926  0.674  0.831
Mn  0.165  0.669  0.328
Mn  0.835  0.331  0.672
Co  0.328  0.325  0.676
Co  0.500  0.000  0.000
Co  0.672  0.675  0.324
O  0.041  0.662  0.106
O  0.138  0.977  0.249
O  0.183  0.344  0.434
O  0.293  0.651  0.568
O  0.385  0.016  0.754
O  0.487  0.334  0.896
O  0.513  0.666  0.104
O  0.615  0.984  0.246
O  0.707  0.349  0.432
O  0.817  0.656  0.566
O  0.862  0.023  0.751
O  0.959  0.338  0.894

Top 10 peaks for 2θ from 5° to 70°, low angle first:
Position (°2θ)  I (rel.)
18.45  100
35.58  14
36.01  13
36.44  13
43.02  30
43.72  29
44.29  27
63.00  16
63.21  8
63.69  8

4.
Diffraction record for Li7Mn4CoO12. The X-ray diffraction stick pattern is computed, not measured: it uses DFT lattice parameters and positions (PBE+U) and Cu Kα, 1.54184 Å.
Intensities are scaled so that the largest is 100.

Structure:
a = 7.777 Å, b = 7.777 Å, c = 9.845 Å
α = 100.53°, β = 100.53°, γ = 21.78°
Positions (direct):
Li  0.000  0.000  0.000
Li  0.167  0.167  0.502
Li  0.249  0.249  0.257
Li  0.327  0.327  0.017
Li  0.502  0.502  0.511
Li  0.678  0.678  0.017
Li  0.822  0.822  0.494
Mn  0.412  0.412  0.748
Mn  0.588  0.588  0.259
Mn  0.744  0.744  0.756
Mn  0.912  0.912  0.254
Co  0.081  0.081  0.761
O  0.041  0.041  0.363
O  0.117  0.117  0.145
O  0.211  0.211  0.882
O  0.292  0.292  0.638
O  0.383  0.383  0.367
O  0.458  0.458  0.150
O  0.526  0.526  0.869
O  0.629  0.629  0.642
O  0.696  0.696  0.372
O  0.803  0.803  0.141
O  0.869  0.869  0.858
O  0.949  0.949  0.637

Top 10 peaks for 2θ from 5° to 70°, low angle first:
Position (°2θ)  I (rel.)
9.14  15
18.34  100
35.78  27
35.91  12
43.28  60
43.73  28
47.69  8
57.11  11
63.16  15
63.29  23

What is the formula in the third record?
Li7Mn2Co3O12

Copy entry 4 word for word.
Diffraction record for Li7Mn4CoO12. The X-ray diffraction stick pattern is computed, not measured: it uses DFT lattice parameters and positions (PBE+U) and Cu Kα, 1.54184 Å.
Intensities are scaled so that the largest is 100.

Structure:
a = 7.777 Å, b = 7.777 Å, c = 9.845 Å
α = 100.53°, β = 100.53°, γ = 21.78°
Positions (direct):
Li  0.000  0.000  0.000
Li  0.167  0.167  0.502
Li  0.249  0.249  0.257
Li  0.327  0.327  0.017
Li  0.502  0.502  0.511
Li  0.678  0.678  0.017
Li  0.822  0.822  0.494
Mn  0.412  0.412  0.748
Mn  0.588  0.588  0.259
Mn  0.744  0.744  0.756
Mn  0.912  0.912  0.254
Co  0.081  0.081  0.761
O  0.041  0.041  0.363
O  0.117  0.117  0.145
O  0.211  0.211  0.882
O  0.292  0.292  0.638
O  0.383  0.383  0.367
O  0.458  0.458  0.150
O  0.526  0.526  0.869
O  0.629  0.629  0.642
O  0.696  0.696  0.372
O  0.803  0.803  0.141
O  0.869  0.869  0.858
O  0.949  0.949  0.637

Top 10 peaks for 2θ from 5° to 70°, low angle first:
Position (°2θ)  I (rel.)
9.14  15
18.34  100
35.78  27
35.91  12
43.28  60
43.73  28
47.69  8
57.11  11
63.16  15
63.29  23